Starting from a DFT-relaxed cell (PBE+U, Alexandria), the powder diffractogram of K3ZnMo2O8 was calculated for Cu Ka.

Top 6 peaks for 15 to 90 degrees two-theta, sorted by position:
hkl  2theta  Rel. int.
1 0 1  20.9  66
0 1 2  29.2  65
1 1 0  30.2  100
0 1 3  39.5  19
2 0 2  42.5  41
1 2 2  53.0  23

Crystal structure
Unit cell a=5.922 b=5.922 c=7.635 alpha=90.00 beta=90.00 gamma=120.00
Fractional positions:
1 K 0.000 0.000 0.000
2 K 0.333 0.667 0.664
3 K 0.667 0.333 0.336
4 Zn 0.000 0.000 0.500
5 Mo 0.333 0.667 0.235
6 Mo 0.667 0.333 0.765
7 O 0.166 0.333 0.326
8 O 0.166 0.834 0.326
9 O 0.333 0.166 0.674
10 O 0.333 0.667 0.001
11 O 0.667 0.333 0.999
12 O 0.667 0.834 0.326
13 O 0.834 0.166 0.674
14 O 0.834 0.667 0.674